OsPbO3: calculated powder XRD pattern (λ = 1.5418 Å (Cu Kα)), based on a cell relaxed with GGA-PBE.
Neutral-atom scattering factors, no anomalous dispersion.

Cell and atoms:
```
20
Lattice="0.000 5.170 5.170 5.170 0.000 5.170 5.170 5.170 0.000" Properties=species:S:1:pos:R:3 pbc="T T T"
Os 0.000 0.000 0.000
Os 2.585 2.585 0.000
Os 2.585 0.000 2.585
Os 0.000 2.585 2.585
Pb 5.170 2.585 2.585
Pb 2.585 5.170 2.585
Pb 2.585 2.585 5.170
Pb 5.170 5.170 5.170
O 3.878 3.878 0.725
O 3.878 0.725 3.878
O 7.031 3.878 3.878
O 6.463 6.463 3.310
O 6.463 3.310 6.463
O 9.616 6.463 6.463
O 0.725 3.878 3.878
O 3.878 7.031 3.878
O 3.878 3.878 7.031
O 3.310 6.463 6.463
O 6.463 9.616 6.463
O 6.463 6.463 9.616
```

The 7 most intense peaks (2θ = 5–70°), in order of rising 2θ:
| 2theta | I (rel.) |
| --- | --- |
| 29.9 | 100 |
| 34.7 | 42 |
| 37.9 | 1 |
| 45.6 | 1 |
| 49.9 | 41 |
| 59.3 | 45 |
| 62.2 | 13 |